Entry 1:
Computed powder XRD pattern of NaPrZr2O6 for Cu Kα, from a DFT-relaxed cell (GGA-PBE, the Materials Project).
No peak broadening, texture or thermal motion is included.

Peak list (10 most intense, 2θ from 10° to 90°, by intensity)
2θ/deg	I (rel.)
30.38	1000
53.98	400
43.50	361
18.47	303
63.21	216
87.78	204
35.79	174
71.74	170
47.64	79
79.86	70

Unit cell a=5.8840 b=5.8840 c=5.8840 alpha=60.00 beta=60.00 gamma=60.00
Sites, in units of the cell vectors:
Na  0.0000  0.0000  0.0000
Pr  0.5000  0.5000  0.5000
Zr  0.2500  0.2500  0.2500
Zr  0.7500  0.7500  0.7500
O  0.0000  0.0000  0.5000
O  0.0000  0.5000  0.0000
O  0.0000  0.5000  0.5000
O  0.5000  0.0000  0.0000
O  0.5000  0.0000  0.5000
O  0.5000  0.5000  0.0000

Entry 2:
Computed powder XRD pattern of NaPrZr4O12 for Cu Kα, from a DFT-relaxed cell (GGA-PBE, the Materials Project).
No peak broadening, texture or thermal motion is included.

Peak list (10 most intense, 2θ from 10° to 90°, by intensity)
2θ/deg	I (rel.)
30.57	1000
30.93	499
18.65	493
54.78	450
21.74	395
54.10	235
21.23	193
24.23	189
44.36	188
15.32	183

Unit cell a=8.3700 b=5.7824 c=5.7824 alpha=90.13 beta=90.00 gamma=90.00
Sites, in units of the cell vectors:
Na  0.0000  0.0000  0.0000
Pr  0.5000  0.4705  0.4705
Zr  0.2361  0.4959  0.9783
Zr  0.2361  0.9783  0.4959
Zr  0.7639  0.4959  0.9783
Zr  0.7639  0.9783  0.4959
O  0.0000  0.0020  0.4117
O  0.0000  0.4117  0.0020
O  0.2025  0.7914  0.7914
O  0.2838  0.2783  0.6976
O  0.2838  0.6976  0.2783
O  0.3047  0.2405  0.2405
O  0.5000  0.5261  0.9174
O  0.5000  0.9174  0.5261
O  0.6953  0.2405  0.2405
O  0.7162  0.2783  0.6976
O  0.7162  0.6976  0.2783
O  0.7975  0.7914  0.7914

- Number 2 is which compound?
  NaPrZr4O12